1.
YAlInNi: theoretical powder XRD pattern (Cu Kα X-rays), based on DFT lattice parameters and positions (PBE).

Principal peaks in the range 2θ from 5° to 70°, most intense first:
2θ (°), I_rel
34.30, 100
32.61, 78
31.57, 61
43.37, 49
24.54, 46
36.38, 39
34.50, 36
42.86, 29
41.67, 27
37.00, 23

Cell and atoms:
a b c (Å): 5.8733 5.8733 7.7307
angles (deg): 111.94 111.94 41.61
Positions (direct):
Y1 0.0317 0.0317 0.2800
Y2 0.9683 0.9683 0.7200
Al1 0.3449 0.3449 0.3602
Al2 0.6551 0.6551 0.6398
In1 0.3391 0.3391 0.9582
In2 0.6609 0.6609 0.0418
Ni1 0.2487 0.2487 0.5968
Ni2 0.7513 0.7513 0.4032

=====

2.
ZnGe2Br2: theoretical powder XRD pattern (Cu Kα X-rays), based on DFT lattice parameters and positions (PBE).

Principal peaks in the range 2θ from 5° to 70°, most intense first:
2θ (°), I_rel
30.25, 100
31.03, 71
32.95, 70
41.83, 61
48.63, 52
37.82, 38
30.81, 38
21.84, 36
18.06, 35
47.01, 32

Cell and atoms:
a b c (Å): 10.0697 6.4655 11.5499
angles (deg): 60.39 33.93 85.68
Positions (direct):
Zn1 0.0000 0.0000 0.0000
Zn2 0.2500 0.2500 0.2500
Ge1 0.3617 0.6380 0.5675
Ge2 0.6380 0.3617 0.4328
Ge3 0.6825 0.8172 0.8883
Ge4 0.8172 0.6825 0.6120
Br1 0.0208 0.4572 0.6317
Br2 0.3597 0.6183 0.7928
Br3 0.4572 0.0208 0.8903
Br4 0.6183 0.3597 0.2292

=====

3.
La2PrSi4Ir2Pd2: theoretical powder XRD pattern (Cu Kα X-rays), based on DFT lattice parameters and positions (PBE).

Principal peaks in the range 2θ from 5° to 70°, most intense first:
2θ (°), I_rel
33.53, 100
7.02, 55
43.10, 22
32.93, 18
43.60, 18
28.34, 17
62.98, 14
67.41, 11
38.66, 10
45.09, 9

Cell and atoms:
a b c (Å): 12.9386 12.9386 12.9386
angles (deg): 161.53 161.33 26.37
Positions (direct):
La1 0.1468 0.1468 0.0000
La2 0.8532 0.8532 0.0000
Pr1 0.5000 0.0000 0.5000
Si1 0.0471 0.5471 0.5000
Si2 0.3005 0.3005 0.0000
Si3 0.6995 0.6995 0.0000
Si4 0.9529 0.4529 0.5000
Ir1 0.2504 0.7504 0.5000
Ir2 0.7496 0.2496 0.5000
Pd1 0.4006 0.4006 0.0000
Pd2 0.5994 0.5994 0.0000

=====

4.
K3Ta2Ag3Se8: theoretical powder XRD pattern (Cu Kα X-rays), based on DFT lattice parameters and positions (PBE).

Principal peaks in the range 2θ from 5° to 70°, most intense first:
2θ (°), I_rel
13.96, 100
15.17, 53
16.00, 39
29.14, 33
32.33, 30
40.81, 30
15.64, 30
12.18, 29
26.85, 27
38.75, 17

Cell and atoms:
a b c (Å): 13.1088 13.1088 14.5869
angles (deg): 118.69 118.69 27.15
Positions (direct):
K1 0.0000 0.0000 0.0000
K2 0.0000 0.0000 0.5000
K3 0.2305 0.3797 0.8925
K4 0.3797 0.2305 0.3925
K5 0.6203 0.7695 0.6075
K6 0.7695 0.6203 0.1075
Ta1 0.1767 0.5659 0.2181
Ta2 0.4341 0.8233 0.2819
Ta3 0.5659 0.1767 0.7181
Ta4 0.8233 0.4341 0.7819
Ag1 0.0653 0.6764 0.7081
Ag2 0.3083 0.6917 0.2500
Ag3 0.3236 0.9347 0.7919
Ag4 0.6764 0.0653 0.2081
Ag5 0.6917 0.3083 0.7500
Ag6 0.9347 0.3236 0.2919
Se1 0.0025 0.1947 0.8924
Se2 0.0838 0.2353 0.6814
Se3 0.1947 0.0025 0.3924
Se4 0.2353 0.0838 0.1814
Se5 0.2655 0.3025 0.6012
Se6 0.3025 0.2655 0.1012
Se7 0.4243 0.4829 0.8505
Se8 0.4829 0.4243 0.3505
Se9 0.5171 0.5757 0.6495
Se10 0.5757 0.5171 0.1495
Se11 0.6975 0.7345 0.8988
Se12 0.7345 0.6975 0.3988
Se13 0.7647 0.9162 0.8186
Se14 0.8053 0.9975 0.6076
Se15 0.9162 0.7647 0.3186
Se16 0.9975 0.8053 0.1076

=====

5.
Y3SnPd4: theoretical powder XRD pattern (Cu Kα X-rays), based on DFT lattice parameters and positions (PBE).

Principal peaks in the range 2θ from 5° to 70°, most intense first:
2θ (°), I_rel
32.90, 100
36.91, 77
40.10, 72
40.29, 70
40.54, 60
36.64, 50
34.76, 34
35.04, 30
42.70, 19
54.09, 19

Cell and atoms:
a b c (Å): 5.5488 4.4972 6.8410
angles (deg): 90.00 90.64 90.00
Positions (direct):
Y1 0.0000 0.0000 0.0000
Y2 0.2228 0.0000 0.4965
Y3 0.7141 0.5000 0.6362
Sn1 0.4919 0.5000 0.1485
Pd1 0.0087 0.5000 0.2756
Pd2 0.2089 0.5000 0.7839
Pd3 0.5076 0.0000 0.8842
Pd4 0.6986 0.0000 0.3433

=====

6.
CdH: theoretical powder XRD pattern (Cu Kα X-rays), based on DFT lattice parameters and positions (PBE).

Principal peaks in the range 2θ from 5° to 70°, most intense first:
2θ (°), I_rel
31.66, 100
36.73, 49
62.99, 39
52.91, 34
66.14, 11

Cell and atoms:
a b c (Å): 3.4608 3.4608 3.4608
angles (deg): 60.00 60.00 60.00
Positions (direct):
Cd1 0.0000 0.0000 0.0000
H1 0.7500 0.7500 0.7500